1.
Structure and computed X-ray diffraction stick pattern of Dy7Zn2Cu2 (a DFT-relaxed cell (GGA-PBE, Alexandria); a wavelength of 1.5418 Å).
Neutral-atom scattering factors, no anomalous dispersion.

```
Dy7Zn2Cu2
1.0
3.7778 -5.4599 0.0000
3.7778 5.4599 0.0000
0.0000 0.0000 7.0838
Dy Zn Cu
7 2 2
direct
0.0000 0.0000 0.0000
0.0000 0.5000 0.2670
0.0000 0.5000 0.7330
0.5000 0.0000 0.2670
0.5000 0.0000 0.7330
0.5000 0.5000 0.2553
0.5000 0.5000 0.7447
0.1659 0.1659 0.5000
0.8341 0.8341 0.5000
0.3005 0.6995 0.0000
0.6995 0.3005 0.0000
```

The 8 most intense peaks (15 to 90 degrees two-theta), in order of rising 2θ:
| Position (°2θ) | d [Å] | I/Imax |
| --- | --- | --- |
| 26.74 | 3.333 | 25 |
| 28.74 | 3.107 | 100 |
| 29.02 | 3.077 | 57 |
| 30.06 | 2.973 | 34 |
| 32.81 | 2.730 | 69 |
| 37.37 | 2.406 | 50 |
| 38.55 | 2.336 | 98 |
| 60.14 | 1.539 | 22 |

2.
Structure and computed X-ray diffraction stick pattern of SnPb2F6 (a DFT-relaxed cell (GGA-PBE, Alexandria); a wavelength of 1.5418 Å).
Neutral-atom scattering factors, no anomalous dispersion.

```
SnPb2F6
1.0
-2.2852 2.2852 9.0701
2.2852 -2.2852 9.0701
2.2852 2.2852 -9.0701
Sn Pb F
1 2 6
direct
0.0000 0.0000 0.0000
0.3199 0.3199 0.0000
0.6801 0.6801 0.0000
0.1663 0.6613 0.0000
0.2500 0.7500 0.5000
0.3387 0.3387 0.5050
0.6613 0.1663 0.0000
0.7500 0.2500 0.5000
0.8337 0.8337 0.4950
```

The 8 most intense peaks (15 to 90 degrees two-theta), in order of rising 2θ:
| Position (°2θ) | d [Å] | I/Imax |
| --- | --- | --- |
| 24.41 | 3.646 | 100 |
| 27.60 | 3.232 | 33 |
| 39.43 | 2.285 | 13 |
| 40.87 | 2.208 | 27 |
| 46.92 | 1.936 | 36 |
| 49.42 | 1.844 | 10 |
| 50.03 | 1.823 | 15 |
| 72.49 | 1.304 | 10 |

3.
Structure and computed X-ray diffraction stick pattern of Nb2Co3Os (a DFT-relaxed cell (GGA-PBE, Alexandria); a wavelength of 1.5418 Å).
Neutral-atom scattering factors, no anomalous dispersion.

```
Nb2Co3Os
1.0
2.4140 1.3937 4.0554
-2.4140 1.3937 4.0554
0.0000 -2.7874 4.0554
Nb Co Os
2 3 1
direct
0.1229 0.1229 0.1229
0.8771 0.8771 0.8771
0.0000 0.5000 0.5000
0.5000 0.0000 0.5000
0.5000 0.5000 0.0000
0.5000 0.5000 0.5000
```

The 8 most intense peaks (15 to 90 degrees two-theta), in order of rising 2θ:
| Position (°2θ) | d [Å] | I/Imax |
| --- | --- | --- |
| 22.49 | 3.954 | 24 |
| 25.86 | 3.446 | 23 |
| 37.25 | 2.414 | 54 |
| 43.01 | 2.103 | 56 |
| 43.64 | 2.074 | 100 |
| 45.90 | 1.977 | 43 |
| 71.14 | 1.325 | 25 |
| 71.59 | 1.318 | 22 |

4.
Structure and computed X-ray diffraction stick pattern of La3InAs (a DFT-relaxed cell (GGA-PBE, Alexandria); a wavelength of 1.5418 Å).
Neutral-atom scattering factors, no anomalous dispersion.

```
La3InAs
1.0
7.2410 0.0000 0.0000
0.0000 4.5780 0.0000
-2.0554 0.0000 9.3899
La In As
6 2 2
direct
0.0266 0.2500 0.1837
0.3683 0.7500 0.4322
0.4513 0.7500 0.8352
0.5487 0.2500 0.1648
0.6317 0.2500 0.5678
0.9734 0.7500 0.8163
0.1338 0.2500 0.5889
0.8662 0.7500 0.4111
0.2660 0.7500 0.1034
0.7340 0.2500 0.8966
```

The 8 most intense peaks (15 to 90 degrees two-theta), in order of rising 2θ:
| Position (°2θ) | d [Å] | I/Imax |
| --- | --- | --- |
| 27.21 | 3.278 | 100 |
| 28.53 | 3.129 | 41 |
| 31.78 | 2.816 | 97 |
| 31.98 | 2.799 | 80 |
| 33.95 | 2.641 | 51 |
| 34.73 | 2.583 | 59 |
| 34.88 | 2.572 | 51 |
| 39.37 | 2.289 | 67 |

Question: What is the formula in the fourth record?
Answer: La3InAs